Entry 1:
# Li4FeB2O6
Theoretical powder diffractogram, CuKα. Input: a structure optimized by DFT (PBE+U).

Top 8 peaks for 15° ≤ 2θ ≤ 90°, by angle:
d 3.079, I 21, hkl 1 -1 1; d 3.032, I 52, hkl 0 0 4; d 2.937, I 23, hkl 1 0 2; d 2.911, I 100, hkl 0 4 2; d 2.549, I 30, hkl -1 1 3; d 2.307, I 30, hkl 0 5 -1; d 2.021, I 25, hkl 0 6 0; d 1.662, I 25, hkl 2 0 0

Crystal structure
```
data_Li4FeB2O6
_cell_length_a 3.325
_cell_length_b 12.282
_cell_length_c 12.306
_cell_angle_alpha 80.61
_cell_angle_beta 88.99
_cell_angle_gamma 89.81
_symmetry_space_group_name_H-M 'P 1'
_symmetry_Int_Tables_number 1
loop_
_symmetry_equiv_pos_as_xyz
'x,y,z'
loop_
_atom_site_label
_atom_site_fract_x
_atom_site_fract_y
_atom_site_fract_z
Li1 0.000 0.000 0.000
Li2 0.001 0.011 0.341
Li3 0.004 0.214 0.547
Li4 0.013 0.512 0.841
Li5 0.015 0.715 0.048
Li6 0.017 0.726 0.388
Li7 0.018 0.499 0.500
Li8 0.490 0.217 0.046
Li9 0.503 0.057 0.558
Li10 0.504 0.169 0.331
Li11 0.505 0.011 0.843
Li12 0.512 0.558 0.058
Li13 0.512 0.716 0.545
Li14 0.514 0.670 0.831
Li15 0.526 0.510 0.343
Li16 0.998 0.227 0.889
Fe1 0.008 0.363 0.194
Fe2 0.009 0.863 0.694
Fe3 0.508 0.863 0.194
Fe4 0.509 0.363 0.694
B1 0.022 0.595 0.662
B2 0.024 0.632 0.227
B3 0.495 0.396 0.963
B4 0.497 0.895 0.463
B5 0.520 0.831 0.926
B6 0.522 0.330 0.426
B7 0.992 0.095 0.162
B8 0.995 0.132 0.726
O1 0.004 0.567 0.145
O2 0.007 0.087 0.836
O3 0.010 0.639 0.553
O4 0.012 0.159 0.244
O5 0.021 0.660 0.744
O6 0.027 0.586 0.336
O7 0.034 0.478 0.692
O8 0.038 0.749 0.197
O9 0.483 0.366 0.080
O10 0.486 0.865 0.580
O11 0.494 0.314 0.898
O12 0.495 0.004 0.418
O13 0.503 0.914 0.991
O14 0.508 0.221 0.471
O15 0.509 0.505 0.918
O16 0.514 0.813 0.398
O17 0.521 0.722 0.971
O18 0.523 0.413 0.491
O19 0.531 0.862 0.809
O20 0.533 0.361 0.309
O21 0.979 0.978 0.192
O22 0.983 0.249 0.696
O23 0.989 0.140 0.053
O24 0.996 0.066 0.645
```



Entry 2:
# LiFeF4
Theoretical powder diffractogram, CuKα. Input: a structure optimized by DFT (PBE+U).

Top 8 peaks for 15° ≤ 2θ ≤ 90°, by angle:
d 5.559, I 93, hkl 2 0 0; d 3.542, I 100, hkl 1 1 1; d 2.847, I 14, hkl 0 2 0; d 2.631, I 22, hkl 3 1 1; d 2.424, I 13, hkl 4 0 1; d 2.256, I 21, hkl 2 2 1; d 1.771, I 19, hkl 2 2 2; d 1.553, I 12, hkl 6 2 0

Crystal structure
```
data_LiFeF4
_cell_length_a 11.118
_cell_length_b 5.694
_cell_length_c 4.951
_cell_angle_alpha 90.00
_cell_angle_beta 90.00
_cell_angle_gamma 90.00
_symmetry_space_group_name_H-M 'P n m a'
_symmetry_Int_Tables_number 62
loop_
_symmetry_equiv_pos_as_xyz
'x,y,z'
'-x,-y,-z'
'-x+1/2,-y,z+1/2'
'x+1/2,y,-z+1/2'
'x+1/2,-y+1/2,-z+1/2'
'-x+1/2,y+1/2,z+1/2'
'-x,y+1/2,-z'
'x,-y+1/2,z'
loop_
_atom_site_label
_atom_site_fract_x
_atom_site_fract_y
_atom_site_fract_z
Li1 0.072 0.250 0.098
Fe1 0.243 0.750 0.043
F1 0.092 0.750 0.870
F2 0.113 0.250 0.735
F3 0.184 0.020 0.270
```



Entry 3:
# K4Na2MgFe2O6
Theoretical powder diffractogram, CuKα. Input: a structure optimized by DFT (PBE+U).

Top 8 peaks for 15° ≤ 2θ ≤ 90°, by angle:
d 5.641, I 97, hkl 0 2 0; d 3.050, I 71, hkl 0 2 2; d 2.870, I 47, hkl 1 1 2; d 2.820, I 94, hkl 0 4 0; d 2.783, I 92, hkl 2 2 0; d 2.723, I 59, hkl 2 2 -1; d 2.605, I 61, hkl 2 0 -2; d 2.331, I 100, hkl 1 3 2

Crystal structure
```
data_K4Na2MgFe2O6
_cell_length_a 6.480
_cell_length_b 11.282
_cell_length_c 7.338
_cell_angle_alpha 90.00
_cell_angle_beta 98.76
_cell_angle_gamma 90.00
_symmetry_space_group_name_H-M 'C 1 2/m 1'
_symmetry_Int_Tables_number 12
loop_
_symmetry_equiv_pos_as_xyz
'x,y,z'
'-x,-y,-z'
'-x,y,-z'
'x,-y,z'
'x+1/2,y+1/2,z'
'-x+1/2,-y+1/2,-z'
'-x+1/2,y+1/2,-z'
'x+1/2,-y+1/2,z'
loop_
_atom_site_label
_atom_site_fract_x
_atom_site_fract_y
_atom_site_fract_z
K1 0.000 0.249 0.000
K2 0.142 0.500 0.697
Na1 0.000 0.263 0.500
Mg1 0.000 0.000 0.500
Fe1 0.225 0.000 0.847
O1 0.000 0.000 0.000
O2 0.000 0.500 0.000
O3 0.218 0.123 0.632
```